[1]
The following is a theoretical powder diffraction line list of KAg6Se4. It was derived from DFT lattice parameters and positions (GGA-PBE), using Cu Kα X-rays.

Atomic structure:
```
data_KAg6Se4
_cell_length_a 13.9546
_cell_length_b 13.9546
_cell_length_c 13.9546
_cell_angle_alpha 161.88
_cell_angle_beta 161.88
_cell_angle_gamma 25.74
_symmetry_space_group_name_H-M 'P 1'
_symmetry_Int_Tables_number 1
loop_
_symmetry_equiv_pos_as_xyz
'x,y,z'
loop_
_atom_site_label
_atom_site_fract_x
_atom_site_fract_y
_atom_site_fract_z
K1 0.0000 0.0000 0.0000
Ag1 0.1208 0.6208 0.5000
Ag2 0.2500 0.7500 0.5000
Ag3 0.3792 0.8792 0.5000
Ag4 0.6208 0.1208 0.5000
Ag5 0.7500 0.2500 0.5000
Ag6 0.8792 0.3792 0.5000
Se1 0.1884 0.1884 0.0000
Se2 0.4349 0.4349 0.0000
Se3 0.5651 0.5651 0.0000
Se4 0.8116 0.8116 0.0000
```

Main lines, in order of rising 2θ (10° ≤ 2θ ≤ 80°):
2theta  intensity
13.0  15
26.1  24
29.5  14
35.0  16
39.3  100
41.1  53
49.3  16
59.5  17
69.9  19
73.6  30

***

[2]
The following is a theoretical powder diffraction line list of TcRuRh4. It was derived from DFT lattice parameters and positions (GGA-PBE), using Cu Kα X-rays.

Atomic structure:
```
data_TcRuRh4
_cell_length_a 2.7108
_cell_length_b 3.8376
_cell_length_c 8.1590
_cell_angle_alpha 90.00
_cell_angle_beta 90.00
_cell_angle_gamma 90.00
_symmetry_space_group_name_H-M 'P 1'
_symmetry_Int_Tables_number 1
loop_
_symmetry_equiv_pos_as_xyz
'x,y,z'
loop_
_atom_site_label
_atom_site_fract_x
_atom_site_fract_y
_atom_site_fract_z
Tc1 0.0000 0.0000 0.0000
Ru1 0.5000 0.5000 0.5000
Rh1 0.0000 0.0000 0.3349
Rh2 0.0000 0.0000 0.6651
Rh3 0.5000 0.5000 0.1640
Rh4 0.5000 0.5000 0.8360
```

Main lines, in order of rising 2θ (10° ≤ 2θ ≤ 80°):
2theta  intensity
40.7  100
47.4  48
69.1  5
69.2  20
69.3  5

***

[3]
The following is a theoretical powder diffraction line list of MgCu2Os. It was derived from DFT lattice parameters and positions (GGA-PBE), using Cu Kα X-rays.

Atomic structure:
```
data_MgCu2Os
_cell_length_a 2.6605
_cell_length_b 2.6605
_cell_length_c 8.6881
_cell_angle_alpha 90.00
_cell_angle_beta 90.00
_cell_angle_gamma 113.68
_symmetry_space_group_name_H-M 'P 1'
_symmetry_Int_Tables_number 1
loop_
_symmetry_equiv_pos_as_xyz
'x,y,z'
loop_
_atom_site_label
_atom_site_fract_x
_atom_site_fract_y
_atom_site_fract_z
Mg1 0.0000 0.0000 0.0000
Cu1 0.0000 0.0000 0.4868
Cu2 0.5000 0.5000 0.2538
Os1 0.5000 0.5000 0.7358
```

Main lines, in order of rising 2θ (10° ≤ 2θ ≤ 80°):
2theta  intensity
10.2  97
20.4  34
36.9  16
38.4  17
40.5  29
41.6  26
42.5  100
59.4  18
75.1  18
76.5  16

***

[4]
The following is a theoretical powder diffraction line list of Li2Ac3Cd9. It was derived from DFT lattice parameters and positions (GGA-PBE), using Cu Kα X-rays.

Atomic structure:
```
data_Li2Ac3Cd9
_cell_length_a 9.2242
_cell_length_b 9.2242
_cell_length_c 9.2242
_cell_angle_alpha 148.32
_cell_angle_beta 113.69
_cell_angle_gamma 75.36
_symmetry_space_group_name_H-M 'P 1'
_symmetry_Int_Tables_number 1
loop_
_symmetry_equiv_pos_as_xyz
'x,y,z'
loop_
_atom_site_label
_atom_site_fract_x
_atom_site_fract_y
_atom_site_fract_z
Li1 0.1822 0.0000 0.1822
Li2 0.8178 0.0000 0.8178
Ac1 0.2077 0.2077 0.0000
Ac2 0.5000 0.5000 0.0000
Ac3 0.7923 0.7923 0.0000
Cd1 0.0000 0.5000 0.5000
Cd2 0.0811 0.3669 0.7141
Cd3 0.2002 0.8445 0.3557
Cd4 0.3472 0.6331 0.7141
Cd5 0.4888 0.8445 0.6443
Cd6 0.5112 0.1555 0.3557
Cd7 0.6528 0.3669 0.2859
Cd8 0.7998 0.1555 0.6443
Cd9 0.9189 0.6331 0.2859
```

Main lines, in order of rising 2θ (10° ≤ 2θ ≤ 80°):
2theta  intensity
25.5  55
30.2  73
31.1  100
31.5  49
32.0  95
35.7  65
47.4  42
48.9  26
60.5  35
61.2  34